Computed powder diffractogram of RbBaPtO2 for Cu Kα (weighted mean of Kα1 and Kα2), from a cell relaxed with GGA-PBE.
Lines closer than 0.1° are merged.

Principal peaks in the range 10° ≤ 2θ ≤ 80°, in order of rising 2θ:
| Position (°2θ) | I_rel |
| --- | --- |
| 14.63 | 46.1 |
| 15.58 | 13.4 |
| 27.75 | 18.4 |
| 29.51 | 21.1 |
| 31.50 | 100.0 |
| 34.86 | 9.8 |
| 40.95 | 14.0 |
| 43.68 | 19.0 |
| 53.62 | 18.6 |
| 56.05 | 19.9 |

Structure:
Unit cell a=6.0543 b=5.6861 c=7.7970 alpha=90.00 beta=90.12 gamma=90.00
Fractional positions:
1 Rb 0.0000 0.0011 0.2500
2 Rb 0.0000 0.9989 0.7500
3 Ba 0.5000 0.5002 0.2500
4 Ba 0.5000 0.4998 0.7500
5 Pt 0.5000 0.0000 0.0000
6 Pt 0.5000 0.0000 0.5000
7 O 0.2926 0.2656 0.9997
8 O 0.2926 0.7344 0.4997
9 O 0.7074 0.2656 0.5003
10 O 0.7074 0.7344 0.0003

Computed powder diffractogram of Ba3YRuPtO9 for Cu Kα (weighted mean of Kα1 and Kα2), from a cell relaxed with GGA-PBE.
Lines closer than 0.1° are merged.

Principal peaks in the range 10° ≤ 2θ ≤ 80°, in order of rising 2θ:
| Position (°2θ) | I_rel |
| --- | --- |
| 18.16 | 17.7 |
| 24.81 | 16.7 |
| 29.48 | 58.7 |
| 29.95 | 100.0 |
| 34.64 | 19.2 |
| 39.27 | 13.7 |
| 42.53 | 32.8 |
| 52.89 | 22.2 |
| 53.18 | 19.9 |
| 62.24 | 18.7 |

Structure:
Unit cell a=5.9663 b=5.9663 c=14.9636 alpha=90.00 beta=90.00 gamma=120.00
Fractional positions:
1 Ba 0.0000 0.0000 0.2423
2 Ba 0.0000 0.0000 0.7577
3 Ba 0.3333 0.6667 0.0834
4 Ba 0.3333 0.6667 0.3992
5 Ba 0.6667 0.3333 0.6008
6 Ba 0.6667 0.3333 0.9166
7 Y 0.0000 0.0000 0.0000
8 Y 0.0000 0.0000 0.5000
9 Ru 0.3333 0.6667 0.6567
10 Ru 0.6667 0.3333 0.3433
11 Pt 0.3333 0.6667 0.8368
12 Pt 0.6667 0.3333 0.1632
13 O 0.0313 0.5157 0.7455
14 O 0.1742 0.3484 0.9139
15 O 0.1742 0.8258 0.9139
16 O 0.1756 0.3512 0.5861
17 O 0.1756 0.8244 0.5861
18 O 0.3484 0.1742 0.0861
19 O 0.3512 0.1756 0.4139
20 O 0.4843 0.5157 0.7455
21 O 0.4843 0.9687 0.7455
22 O 0.5157 0.0313 0.2545
23 O 0.5157 0.4843 0.2545
24 O 0.6488 0.8244 0.5861
25 O 0.6516 0.8258 0.9139
26 O 0.8244 0.1756 0.4139
27 O 0.8244 0.6488 0.4139
28 O 0.8258 0.1742 0.0861
29 O 0.8258 0.6516 0.0861
30 O 0.9687 0.4843 0.2545

Computed powder diffractogram of Ba6Y2Ru3PtO18 for Cu Kα (weighted mean of Kα1 and Kα2), from a cell relaxed with GGA-PBE.
Lines closer than 0.1° are merged.

Principal peaks in the range 10° ≤ 2θ ≤ 80°, in order of rising 2θ:
| Position (°2θ) | I_rel |
| --- | --- |
| 24.98 | 20.7 |
| 29.74 | 60.2 |
| 29.97 | 100.0 |
| 34.99 | 14.1 |
| 39.40 | 16.5 |
| 42.72 | 35.0 |
| 46.48 | 13.5 |
| 53.06 | 22.8 |
| 53.20 | 20.0 |
| 62.27 | 18.6 |

Structure:
Unit cell a=5.9639 b=5.9639 c=14.7740 alpha=90.00 beta=90.00 gamma=120.00
Fractional positions:
1 Ba 0.0000 0.0000 0.0000
2 Ba 0.0000 0.0000 0.3101
3 Ba 0.3333 0.6667 0.5036
4 Ba 0.3333 0.6667 0.8159
5 Ba 0.6667 0.3333 0.1587
6 Ba 0.6667 0.3333 0.6637
7 Y 0.6667 0.3333 0.4070
8 Y 0.6667 0.3333 0.9119
9 Ru 0.0000 0.0000 0.5668
10 Ru 0.3333 0.6667 0.0769
11 Ru 0.3333 0.6667 0.2457
12 Pt 0.0000 0.0000 0.7499
13 O 0.0190 0.5095 0.0028
14 O 0.0196 0.5098 0.3214
15 O 0.1515 0.3030 0.6581
16 O 0.1515 0.8485 0.6581
17 O 0.1765 0.3529 0.1613
18 O 0.1765 0.8235 0.1613
19 O 0.3163 0.1582 0.4960
20 O 0.3181 0.1591 0.8281
21 O 0.4902 0.5098 0.3214
22 O 0.4902 0.9804 0.3214
23 O 0.4905 0.5095 0.0028
24 O 0.4905 0.9810 0.0028
25 O 0.6471 0.8235 0.1613
26 O 0.6970 0.8485 0.6581
27 O 0.8409 0.1591 0.8281
28 O 0.8409 0.6819 0.8281
29 O 0.8418 0.1582 0.4960
30 O 0.8418 0.6837 0.4960

Computed powder diffractogram of BaSm2PtO5 for Cu Kα (weighted mean of Kα1 and Kα2), from a cell relaxed with GGA-PBE.
Lines closer than 0.1° are merged.

Principal peaks in the range 10° ≤ 2θ ≤ 80°, in order of rising 2θ:
| Position (°2θ) | I_rel |
| --- | --- |
| 18.61 | 12.6 |
| 29.91 | 36.8 |
| 30.44 | 100.0 |
| 33.28 | 31.4 |
| 37.73 | 23.9 |
| 42.60 | 24.1 |
| 45.14 | 13.4 |
| 48.87 | 22.3 |
| 53.44 | 20.8 |
| 56.73 | 12.5 |

Structure:
Unit cell a=6.7444 b=6.7444 c=5.9740 alpha=90.00 beta=90.00 gamma=90.00
Fractional positions:
1 Ba 0.0000 0.0000 0.0000
2 Ba 0.5000 0.5000 0.0000
3 Sm 0.1745 0.3255 0.5000
4 Sm 0.3255 0.8255 0.5000
5 Sm 0.6745 0.1745 0.5000
6 Sm 0.8255 0.6745 0.5000
7 Pt 0.0000 0.5000 0.0000
8 Pt 0.5000 0.0000 0.0000
9 O 0.0000 0.0000 0.5000
10 O 0.1392 0.6392 0.2572
11 O 0.1392 0.6392 0.7428
12 O 0.3608 0.1392 0.2572
13 O 0.3608 0.1392 0.7428
14 O 0.5000 0.5000 0.5000
15 O 0.6392 0.8608 0.2572
16 O 0.6392 0.8608 0.7428
17 O 0.8608 0.3608 0.2572
18 O 0.8608 0.3608 0.7428

Computed powder diffractogram of Ba2SrPtO5 for Cu Kα (weighted mean of Kα1 and Kα2), from a cell relaxed with GGA-PBE.
Lines closer than 0.1° are merged.

Principal peaks in the range 10° ≤ 2θ ≤ 80°, in order of rising 2θ:
| Position (°2θ) | I_rel |
| --- | --- |
| 17.46 | 25.2 |
| 27.45 | 36.8 |
| 28.40 | 100.0 |
| 28.63 | 25.6 |
| 34.77 | 33.6 |
| 35.35 | 24.6 |
| 42.15 | 19.5 |
| 44.86 | 12.9 |
| 45.33 | 24.3 |
| 49.12 | 22.5 |

Structure:
Unit cell a=8.2468 b=8.2468 c=8.2468 alpha=128.38 beta=128.38 gamma=76.01
Fractional positions:
1 Ba 0.1782 0.6782 0.8564
2 Ba 0.3218 0.1782 0.5000
3 Ba 0.6782 0.8218 0.5000
4 Ba 0.8218 0.3218 0.1436
5 Sr 0.2500 0.2500 0.0000
6 Sr 0.7500 0.7500 0.0000
7 Pt 0.2500 0.7500 0.5000
8 Pt 0.7500 0.2500 0.5000
9 O 0.0000 0.0000 0.0000
10 O 0.0096 0.7658 0.5000
11 O 0.2342 0.7342 0.2438
12 O 0.2658 0.5096 0.5000
13 O 0.4904 0.9904 0.7562
14 O 0.5000 0.5000 0.0000
15 O 0.5096 0.0096 0.2438
16 O 0.7342 0.4904 0.5000
17 O 0.7658 0.2658 0.7562
18 O 0.9904 0.2342 0.5000

Computed powder diffractogram of Ba4Ti3PtO12 for Cu Kα (weighted mean of Kα1 and Kα2), from a cell relaxed with GGA-PBE.
Lines closer than 0.1° are merged.

Principal peaks in the range 10° ≤ 2θ ≤ 80°, in order of rising 2θ:
| Position (°2θ) | I_rel |
| --- | --- |
| 21.67 | 15.6 |
| 25.83 | 27.6 |
| 30.78 | 61.1 |
| 30.89 | 100.0 |
| 36.26 | 18.0 |
| 40.69 | 20.8 |
| 44.16 | 35.3 |
| 48.22 | 12.4 |
| 54.90 | 43.6 |
| 64.36 | 19.2 |

Structure:
Unit cell a=5.7899 b=5.7899 c=28.5170 alpha=90.00 beta=90.00 gamma=120.00
Fractional positions:
1 Ba 0.0000 0.0000 0.0000
2 Ba 0.0000 0.0000 0.1528
3 Ba 0.0000 0.0000 0.4944
4 Ba 0.0000 0.0000 0.6542
5 Ba 0.3333 0.6667 0.2476
6 Ba 0.3333 0.6667 0.4062
7 Ba 0.3333 0.6667 0.7499
8 Ba 0.3333 0.6667 0.9054
9 Ba 0.6667 0.3333 0.0764
10 Ba 0.6667 0.3333 0.3265
11 Ba 0.6667 0.3333 0.5724
12 Ba 0.6667 0.3333 0.8279
13 Ti 0.0000 0.0000 0.2747
14 Ti 0.0000 0.0000 0.7765
15 Ti 0.3333 0.6667 0.0274
16 Ti 0.3333 0.6667 0.1223
17 Ti 0.3333 0.6667 0.6258
18 Ti 0.6667 0.3333 0.1988
19 Ti 0.6667 0.3333 0.4498
20 Ti 0.6667 0.3333 0.7004
21 Ti 0.6667 0.3333 0.9511
22 Pt 0.0000 0.0000 0.3715
23 Pt 0.0000 0.0000 0.8737
24 Pt 0.3333 0.6667 0.5329
25 O 0.1517 0.3034 0.3252
26 O 0.1516 0.3031 0.8270
27 O 0.1517 0.8483 0.3252
28 O 0.1516 0.8484 0.8270
29 O 0.1806 0.3612 0.5808
30 O 0.1806 0.8194 0.5808
31 O 0.1844 0.3687 0.0780
32 O 0.1844 0.8156 0.0780
33 O 0.3331 0.1666 0.2414
34 O 0.3331 0.1666 0.7432
35 O 0.3415 0.1707 0.9146
36 O 0.3425 0.1713 0.4128
37 O 0.5003 0.0006 0.9940
38 O 0.5003 0.4997 0.9940
39 O 0.5013 0.0025 0.6642
40 O 0.5013 0.4987 0.6642
41 O 0.5024 0.0047 0.1619
42 O 0.5024 0.4976 0.1619
43 O 0.5029 0.0058 0.4928
44 O 0.5029 0.4971 0.4928
45 O 0.6313 0.8156 0.0780
46 O 0.6388 0.8194 0.5808
47 O 0.6966 0.8483 0.3252
48 O 0.6969 0.8484 0.8270
49 O 0.8287 0.1713 0.4128
50 O 0.8293 0.1707 0.9146
51 O 0.8287 0.6575 0.4128
52 O 0.8293 0.6585 0.9146
53 O 0.8334 0.1666 0.2414
54 O 0.8334 0.1666 0.7432
55 O 0.8334 0.6669 0.2414
56 O 0.8334 0.6669 0.7432
57 O 0.9942 0.4971 0.4928
58 O 0.9953 0.4976 0.1619
59 O 0.9975 0.4987 0.6642
60 O 0.9994 0.4997 0.9940

Computed powder diffractogram of Ba4Ti2PtO10 for Cu Kα (weighted mean of Kα1 and Kα2), from a cell relaxed with GGA-PBE.
Lines closer than 0.1° are merged.

Principal peaks in the range 10° ≤ 2θ ≤ 80°, in order of rising 2θ:
| Position (°2θ) | I_rel |
| --- | --- |
| 13.06 | 30.2 |
| 26.05 | 86.7 |
| 26.29 | 47.0 |
| 28.33 | 95.3 |
| 30.58 | 83.0 |
| 32.15 | 100.0 |
| 40.75 | 60.8 |
| 51.57 | 31.6 |
| 53.59 | 27.8 |
| 55.37 | 30.5 |

Structure:
Unit cell a=7.3826 b=7.3826 c=13.3122 alpha=90.00 beta=90.00 gamma=133.35
Fractional positions:
1 Ba 0.0297 0.9703 0.8584
2 Ba 0.2342 0.7658 0.6047
3 Ba 0.2658 0.7342 0.1047
4 Ba 0.4703 0.5297 0.3584
5 Ba 0.5297 0.4703 0.6416
6 Ba 0.7342 0.2658 0.8953
7 Ba 0.7658 0.2342 0.3953
8 Ba 0.9703 0.0297 0.1416
9 Ti 0.1373 0.8627 0.3442
10 Ti 0.3627 0.6373 0.8442
11 Ti 0.6373 0.3627 0.1558
12 Ti 0.8627 0.1373 0.6558
13 Pt 0.0000 0.0000 0.5000
14 Pt 0.5000 0.5000 0.0000
15 O 0.0366 0.9634 0.6508
16 O 0.1152 0.3347 0.5393
17 O 0.1269 0.3731 0.7500
18 O 0.1653 0.3848 0.9607
19 O 0.2301 0.7699 0.8501
20 O 0.2699 0.7301 0.3501
21 O 0.3347 0.1152 0.4607
22 O 0.3731 0.1269 0.2500
23 O 0.3848 0.1653 0.0393
24 O 0.4634 0.5366 0.1508
25 O 0.5366 0.4634 0.8492
26 O 0.6152 0.8347 0.9607
27 O 0.6269 0.8731 0.7500
28 O 0.6653 0.8848 0.5393
29 O 0.7301 0.2699 0.6499
30 O 0.7699 0.2301 0.1499
31 O 0.8347 0.6152 0.0393
32 O 0.8731 0.6269 0.2500
33 O 0.8848 0.6653 0.4607
34 O 0.9634 0.0366 0.3492